KU4Te6: computed XRD peak list (Cu Kα (λ = 1.5418 Å)), based on DFT lattice parameters and positions (GGA-PBE).
Lines closer than 0.1° are merged.

Top 8 peaks for 2θ = 5–70°, in order of falling intensity:
d 11.494, 7.69 deg, I = 100
d 3.204, 27.84 deg, I = 85
d 3.115, 28.66 deg, I = 82
d 2.995, 29.83 deg, I = 62
d 2.981, 29.98 deg, I = 54
d 2.142, 42.18 deg, I = 46
d 2.166, 41.70 deg, I = 39
d 2.176, 41.50 deg, I = 37

```
data_KU4Te6
_chemical_formula_sum 'K2 U8 Te12'
_cell_length_a 7.6136
_cell_length_b 7.6136
_cell_length_c 22.9884
_cell_angle_alpha 90.00
_cell_angle_beta 90.00
_cell_angle_gamma 146.94
_symmetry_space_group_name_H-M 'P 1'
_symmetry_Int_Tables_number 1
_symmetry_space_group_name_Hall 'P 1'
loop_
_atom_site_label
_atom_site_type_symbol
_atom_site_fract_x
_atom_site_fract_y
_atom_site_fract_z
_atom_site_occupancy
K1 K 0.1758 0.8242 0.7500 1
K2 K 0.8242 0.1758 0.2500 1
U1 U 0.0849 0.9151 0.1238 1
U2 U 0.0849 0.9151 0.3762 1
U3 U 0.3547 0.6453 0.0350 1
U4 U 0.3547 0.6453 0.4650 1
U5 U 0.6453 0.3547 0.5350 1
U6 U 0.6453 0.3547 0.9650 1
U7 U 0.9151 0.0849 0.6238 1
U8 U 0.9151 0.0849 0.8762 1
Te1 Te 0.0000 0.0000 0.0000 1
Te2 Te 0.0000 0.0000 0.5000 1
Te3 Te 0.1383 0.8617 0.2500 1
Te4 Te 0.2707 0.7293 0.5908 1
Te5 Te 0.2707 0.7293 0.9092 1
Te6 Te 0.4464 0.5536 0.1564 1
Te7 Te 0.4464 0.5536 0.3436 1
Te8 Te 0.5536 0.4464 0.6564 1
Te9 Te 0.5536 0.4464 0.8436 1
Te10 Te 0.7293 0.2707 0.0908 1
Te11 Te 0.7293 0.2707 0.4092 1
Te12 Te 0.8617 0.1383 0.7500 1
```